The following is a simulated powder XRD pattern of U3Sn4Pt3. It was derived from the GGA-PBE geometry in the Materials Project, using Cu Kα (λ = 1.5418 Å).

Cell and atoms:
a b c (Å): 8.4461 8.4461 8.4461
angles (deg): 109.47 109.47 109.47
Fractional positions:
U1 0.1250 0.8750 0.2500
U2 0.2500 0.1250 0.8750
U3 0.3750 0.6250 0.7500
U4 0.6250 0.7500 0.3750
U5 0.7500 0.3750 0.6250
U6 0.8750 0.2500 0.1250
Sn1 0.0000 0.1759 0.5000
Sn2 0.0000 0.6759 0.5000
Sn3 0.1759 0.5000 0.0000
Sn4 0.3241 0.3241 0.3241
Sn5 0.5000 0.0000 0.1759
Sn6 0.5000 0.0000 0.6759
Sn7 0.6759 0.5000 0.0000
Sn8 0.8241 0.8241 0.8241
Pt1 0.1250 0.7500 0.8750
Pt2 0.2500 0.6250 0.3750
Pt3 0.3750 0.2500 0.6250
Pt4 0.6250 0.3750 0.2500
Pt5 0.7500 0.8750 0.1250
Pt6 0.8750 0.1250 0.7500

Peak list (8 most intense, 10 to 90 degrees two-theta, in order of rising 2θ)
2θ 22.33, 3.982 Å, intensity 20; 2θ 25.84, 3.448 Å, intensity 14; 2θ 34.41, 2.607 Å, intensity 100; 2θ 41.40, 2.181 Å, intensity 55; 2θ 45.57, 1.991 Å, intensity 14; 2θ 51.31, 1.781 Å, intensity 18; 2θ 66.41, 1.408 Å, intensity 13; 2θ 71.02, 1.327 Å, intensity 13